AsAuSe2: simulated powder XRD pattern (a wavelength of 1.5418 Å), based on a cell relaxed with GGA-PBE.
Kinematic intensities with the Lorentz-polarization factor, no thermal factor.

Largest 10 diffraction maxima, by intensity, 2θ = 5–70°:
hkl, d [Å], 2θ/deg, I_rel
1 1 0, 2.798, 31.99, 100.0
1 1 2, 1.973, 45.99, 67.4
0 0 2, 2.784, 32.15, 45.6
2 0 0, 1.978, 45.87, 36.7
2 0 2, 1.613, 57.12, 35.3
1 0 1, 3.225, 27.66, 24.5
0 0 1, 5.568, 15.92, 18.3
1 0 0, 3.957, 22.47, 17.6
2 2 0, 1.399, 66.88, 11.9
1 0 2, 2.277, 39.58, 11.9

Structure:
Cell: 3.9567 3.9567 5.5682 Å, 90.00 90.00 90.00°
Fractional positions:
As (0.0000, 0.0000, 0.0000)
Au (0.5000, 0.5000, 0.4901)
Se (0.0000, 0.0000, 0.4345)
Se (0.5000, 0.5000, 0.9735)